Diffraction record for PmDyMgCo. The X-ray diffraction stick pattern is theoretical, not measured: it uses the PBE geometry in Alexandria and Cu Kα X-rays.

Main lines, sorted by position (2θ from 10° to 80°):
| 2theta | d [Å] | I_rel | hkl |
| --- | --- | --- | --- |
| 10.9 | 8.148 | 53 | 0 0 1 |
| 21.8 | 4.074 | 18 | 0 0 2 |
| 25.9 | 3.445 | 42 | 1 0 0 |
| 34.1 | 2.630 | 100 | 1 0 2 |
| 36.9 | 2.436 | 54 | 1 1 0 |
| 42.4 | 2.133 | 36 | 1 0 3 |
| 53.2 | 1.722 | 19 | 2 0 0 |
| 64.7 | 1.441 | 30 | 2 1 2 |
| 69.4 | 1.354 | 13 | 1 1 5 |
| 70.2 | 1.340 | 16 | 2 1 3 |

Structure:
```
PmDyMgCo
1.0
3.4447 0.0000 0.0000
0.0000 3.4447 0.0000
0.0000 0.0000 8.1481
Pm Dy Mg Co
1 1 1 1
Cartesian
0.0000 0.0000 0.0000
0.0000 0.0000 3.2934
1.7223 1.7223 5.6603
1.7223 1.7223 1.7298
```